# 1
# La7Pr3Sm
Computed powder XRD pattern, Cu Kα (λ = 1.5418 Å). Input: a cell relaxed with GGA-PBE.

Crystal structure
Unit cell a=12.761 b=7.374 c=8.859 alpha=90.00 beta=90.13 gamma=90.00
Space group Cm (No. 8)
Inequivalent atoms, fractional coordinates:
La 0.000 0.000 0.000
La 0.000 0.500 0.015
La 0.167 0.000 0.672
La 0.251 0.248 0.016
La 0.416 0.248 0.671
Pr 0.083 0.250 0.343
Pr 0.334 0.500 0.343
Sm 0.167 0.500 0.685

Top 10 peaks for 10 to 90 degrees two-theta, sorted by position:
| two_theta | Rel. int. | h k l |
| --- | --- | --- |
| 29.75 | 100 | 2 2 1 |
| 30.27 | 31 | 0 0 3 |
| 34.64 | 66 | 4 0 2 |
| 49.46 | 24 | 6 2 0 |
| 50.13 | 23 | 4 0 -4 |
| 58.80 | 14 | 8 0 1 |
| 59.06 | 19 | 6 2 -3 |
| 59.16 | 9 | 6 2 3 |
| 59.66 | 9 | 2 2 -5 |
| 61.79 | 12 | 8 0 -2 |

***

# 2
# La5PrSm5
Computed powder XRD pattern, Cu Kα (λ = 1.5418 Å). Input: a cell relaxed with GGA-PBE.

Crystal structure
Unit cell a=19.308 b=6.168 c=7.163 alpha=90.00 beta=111.29 gamma=90.00
Space group C2/m (No. 12)
Inequivalent atoms, fractional coordinates:
La 0.000 0.000 0.000
La 0.175 0.500 0.418
La 0.175 0.500 0.931
Pr 0.000 0.500 0.000
Sm 0.000 0.500 0.500
Sm 0.124 0.000 0.627
Sm 0.169 0.000 0.172

Top 10 peaks for 10 to 90 degrees two-theta, sorted by position:
| two_theta | Rel. int. | h k l |
| --- | --- | --- |
| 27.63 | 22 | 4 0 1 |
| 28.73 | 28 | 5 1 0 |
| 28.95 | 100 | 0 2 0 |
| 29.26 | 32 | 3 1 -2 |
| 29.80 | 57 | 6 0 0 |
| 32.44 | 87 | 1 1 2 |
| 32.64 | 84 | 5 1 -2 |
| 42.03 | 45 | 6 2 0 |
| 53.56 | 21 | 1 3 2 |
| 59.73 | 29 | 4 2 -4 |

***

# 3
# LaPr2Sm5
Computed powder XRD pattern, Cu Kα (λ = 1.5418 Å). Input: a cell relaxed with GGA-PBE.

Crystal structure
Unit cell a=7.324 b=14.664 c=5.193 alpha=90.00 beta=90.00 gamma=90.00
Space group Pbam (No. 55)
Inequivalent atoms, fractional coordinates:
La 0.000 0.000 0.000
Pr 0.250 0.126 0.500
Sm 0.000 0.252 0.000
Sm 0.000 0.500 0.000
Sm 0.250 0.374 0.500

Top 10 peaks for 10 to 90 degrees two-theta, sorted by position:
| two_theta | Rel. int. | h k l |
| --- | --- | --- |
| 29.85 | 100 | 2 0 1 |
| 34.60 | 51 | 2 4 0 |
| 49.74 | 36 | 4 0 0 |
| 59.06 | 29 | 2 0 3 |
| 59.14 | 14 | 4 4 1 |
| 62.00 | 12 | 4 0 2 |
| 73.04 | 4 | 4 8 0 |
| 80.77 | 15 | 4 4 3 |
| 83.25 | 5 | 2 4 4 |
| 83.40 | 11 | 6 4 0 |